For Ho2Al9Fe3, a GGA-PBE-relaxed structure gives the theoretical powder XRD pattern in this record (λ = 1.5418 Å (Cu Kα)).
Kinematic intensities with the Lorentz-polarization factor, no thermal factor.

Most intense lines, 2θ from 10° to 90°, sorted by position:
2θ/deg	I/Imax
14.22	30
25.79	81
26.02	49
30.65	57
37.47	100
37.63	52
38.13	45
42.02	41
42.46	84
58.37	37

Cell and atoms:
abc: 7.425 7.425 10.376
angles: 111.12 111.12 59.35
Fractional positions:
Ho 0.088 0.252 0.249
Ho 0.252 0.088 0.749
Ho 0.748 0.912 0.251
Ho 0.912 0.748 0.751
Al 0.023 0.857 0.070
Al 0.143 0.977 0.430
Al 0.190 0.359 0.566
Al 0.207 0.581 0.253
Al 0.318 0.487 0.955
Al 0.359 0.190 0.066
Al 0.361 0.639 0.750
Al 0.419 0.793 0.247
Al 0.487 0.318 0.455
Al 0.513 0.682 0.545
Al 0.581 0.207 0.753
Al 0.639 0.361 0.250
Al 0.641 0.810 0.934
Al 0.682 0.513 0.045
Al 0.793 0.419 0.747
Al 0.810 0.641 0.434
Al 0.857 0.023 0.570
Al 0.977 0.143 0.930
Fe 0.000 0.500 0.000
Fe 0.155 0.672 0.498
Fe 0.328 0.845 0.002
Fe 0.500 0.000 0.500
Fe 0.672 0.155 0.998
Fe 0.845 0.328 0.502

=====

For Ho2Al8Fe, a GGA-PBE-relaxed structure gives the theoretical powder XRD pattern in this record (λ = 1.5418 Å (Cu Kα)).
Kinematic intensities with the Lorentz-polarization factor, no thermal factor.

Most intense lines, 2θ from 10° to 90°, sorted by position:
2θ/deg	I/Imax
21.14	96
23.83	25
30.07	28
32.06	55
34.15	46
38.72	100
43.04	50
54.67	25
60.40	22
76.00	26

Cell and atoms:
abc: 4.203 4.203 11.201
angles: 90.00 90.00 90.00
Fractional positions:
Ho 0.000 0.000 0.194
Ho 0.000 0.000 0.806
Al 0.000 0.500 0.000
Al 0.000 0.500 0.385
Al 0.000 0.500 0.615
Al 0.500 0.000 0.000
Al 0.500 0.000 0.385
Al 0.500 0.000 0.615
Al 0.500 0.500 0.192
Al 0.500 0.500 0.808
Fe 0.000 0.000 0.500

=====

For HoAl8Fe4, a GGA-PBE-relaxed structure gives the theoretical powder XRD pattern in this record (λ = 1.5418 Å (Cu Kα)).
Kinematic intensities with the Lorentz-polarization factor, no thermal factor.

Most intense lines, 2θ from 10° to 90°, sorted by position:
2θ/deg	I/Imax
14.42	22
20.44	21
29.08	44
32.60	12
35.81	21
41.58	100
46.76	11
60.26	26
68.28	17
75.88	20

Cell and atoms:
abc: 6.634 6.634 6.634
angles: 98.22 98.22 135.56
Fractional positions:
Ho 0.000 0.000 0.000
Al 0.000 0.340 0.340
Al 0.000 0.660 0.660
Al 0.280 0.500 0.780
Al 0.340 0.000 0.340
Al 0.500 0.280 0.780
Al 0.500 0.720 0.220
Al 0.660 0.000 0.660
Al 0.720 0.500 0.220
Fe 0.000 0.000 0.500
Fe 0.000 0.500 0.000
Fe 0.500 0.000 0.000
Fe 0.500 0.500 0.500

=====

For HoTh2Al12Fe3, a GGA-PBE-relaxed structure gives the theoretical powder XRD pattern in this record (λ = 1.5418 Å (Cu Kα)).
Kinematic intensities with the Lorentz-polarization factor, no thermal factor.

Most intense lines, 2θ from 10° to 90°, sorted by position:
2θ/deg	I/Imax
15.36	50
20.98	100
24.74	51
26.11	54
26.76	53
33.73	61
35.78	85
40.51	43
42.71	47
51.12	38

Cell and atoms:
abc: 7.921 7.921 7.921
angles: 64.62 64.62 64.62
Fractional positions:
Ho 0.000 0.000 0.000
Th 0.418 0.418 0.418
Th 0.582 0.582 0.582
Al 0.096 0.727 0.727
Al 0.163 0.163 0.526
Al 0.163 0.526 0.163
Al 0.273 0.273 0.904
Al 0.273 0.904 0.273
Al 0.474 0.837 0.837
Al 0.526 0.163 0.163
Al 0.727 0.096 0.727
Al 0.727 0.727 0.096
Al 0.837 0.474 0.837
Al 0.837 0.837 0.474
Al 0.904 0.273 0.273
Fe 0.000 0.000 0.500
Fe 0.000 0.500 0.000
Fe 0.500 0.000 0.000

=====

For AlFe2I8, a GGA-PBE-relaxed structure gives the theoretical powder XRD pattern in this record (λ = 1.5418 Å (Cu Kα)).
Kinematic intensities with the Lorentz-polarization factor, no thermal factor.

Most intense lines, 2θ from 10° to 90°, sorted by position:
2θ/deg	I/Imax
10.94	34
15.76	52
21.98	44
24.04	52
24.49	100
25.69	54
26.24	32
34.77	25
41.73	55
48.58	30

Cell and atoms:
abc: 8.768 8.768 7.442
angles: 94.83 94.83 67.49
Fractional positions:
Al 0.000 0.000 0.000
Fe 0.193 0.193 0.176
Fe 0.807 0.807 0.824
I 0.122 0.720 0.765
I 0.163 0.163 0.823
I 0.280 0.878 0.235
I 0.351 0.351 0.334
I 0.649 0.649 0.666
I 0.720 0.122 0.765
I 0.837 0.837 0.177
I 0.878 0.280 0.235

=====

For AlInFe, a GGA-PBE-relaxed structure gives the theoretical powder XRD pattern in this record (λ = 1.5418 Å (Cu Kα)).
Kinematic intensities with the Lorentz-polarization factor, no thermal factor.

Most intense lines, 2θ from 10° to 90°, sorted by position:
2θ/deg	I/Imax
12.71	19
24.98	96
30.05	50
32.74	18
39.12	48
42.69	93
43.33	100
62.45	28
79.05	28
79.50	16

Cell and atoms:
abc: 7.373 7.373 7.373
angles: 32.91 32.91 32.91
Fractional positions:
Al 0.000 0.000 0.000
Al 0.260 0.260 0.260
In 0.493 0.493 0.493
In 0.745 0.745 0.745
Fe 0.618 0.618 0.618
Fe 0.886 0.886 0.886

=====

For AlInFe, a GGA-PBE-relaxed structure gives the theoretical powder XRD pattern in this record (λ = 1.5418 Å (Cu Kα)).
Kinematic intensities with the Lorentz-polarization factor, no thermal factor.

Most intense lines, 2θ from 10° to 90°, sorted by position:
2θ/deg	I/Imax
17.01	19
29.64	44
32.09	26
34.42	16
36.54	12
41.95	56
42.45	100
55.34	15
60.83	18
76.98	32

Cell and atoms:
abc: 3.046 3.046 20.846
angles: 90.00 90.00 90.00
Fractional positions:
Al 0.000 0.000 0.211
Al 0.000 0.000 0.789
Al 0.500 0.500 0.289
Al 0.500 0.500 0.711
In 0.000 0.000 0.071
In 0.000 0.000 0.929
In 0.500 0.500 0.429
In 0.500 0.500 0.571
Fe 0.000 0.000 0.345
Fe 0.000 0.000 0.655
Fe 0.500 0.500 0.155
Fe 0.500 0.500 0.845

=====

For Al5Fe4Ir, a GGA-PBE-relaxed structure gives the theoretical powder XRD pattern in this record (λ = 1.5418 Å (Cu Kα)).
Kinematic intensities with the Lorentz-polarization factor, no thermal factor.

Most intense lines, 2θ from 10° to 90°, sorted by position:
2θ/deg	I/Imax
12.28	26
30.67	38
31.03	18
31.30	14
43.92	54
44.19	100
54.75	14
63.87	19
80.93	32
81.49	15

Cell and atoms:
abc: 2.915 2.915 14.411
angles: 90.00 90.00 90.00
Fractional positions:
Al 0.000 0.000 0.000
Al 0.000 0.000 0.197
Al 0.000 0.000 0.391
Al 0.000 0.000 0.609
Al 0.000 0.000 0.803
Fe 0.500 0.500 0.099
Fe 0.500 0.500 0.293
Fe 0.500 0.500 0.707
Fe 0.500 0.500 0.901
Ir 0.500 0.500 0.500

=====

For Al6FeIr5, a GGA-PBE-relaxed structure gives the theoretical powder XRD pattern in this record (λ = 1.5418 Å (Cu Kα)).
Kinematic intensities with the Lorentz-polarization factor, no thermal factor.

Most intense lines, 2θ from 10° to 90°, sorted by position:
2θ/deg	I/Imax
29.82	68
29.90	34
42.70	100
42.78	50
52.99	28
62.09	17
70.19	9
70.41	21
78.19	17
78.31	26

Cell and atoms:
abc: 4.233 5.976 6.697
angles: 90.00 108.26 90.00
Fractional positions:
Al 0.000 0.241 0.000
Al 0.000 0.759 0.000
Al 0.337 0.245 0.675
Al 0.337 0.755 0.675
Al 0.663 0.245 0.325
Al 0.663 0.755 0.325
Fe 0.500 0.000 0.000
Ir 0.167 0.000 0.333
Ir 0.168 0.500 0.336
Ir 0.500 0.500 0.000
Ir 0.832 0.500 0.664
Ir 0.833 0.000 0.667

=====

For KAlFe4, a GGA-PBE-relaxed structure gives the theoretical powder XRD pattern in this record (λ = 1.5418 Å (Cu Kα)).
Kinematic intensities with the Lorentz-polarization factor, no thermal factor.

Most intense lines, 2θ from 10° to 90°, sorted by position:
2θ/deg	I/Imax
21.33	36
35.18	14
41.51	100
43.45	59
50.61	14
55.52	8
67.46	28
74.38	26
78.42	5
88.97	9

Cell and atoms:
abc: 5.101 5.101 5.101
angles: 60.00 60.00 60.00
Fractional positions:
K 0.000 0.000 0.000
Al 0.750 0.750 0.750
Fe 0.377 0.377 0.377
Fe 0.377 0.377 0.869
Fe 0.377 0.869 0.377
Fe 0.869 0.377 0.377

=====

For La6AlFe13, a GGA-PBE-relaxed structure gives the theoretical powder XRD pattern in this record (λ = 1.5418 Å (Cu Kα)).
Kinematic intensities with the Lorentz-polarization factor, no thermal factor.

Most intense lines, 2θ from 10° to 90°, sorted by position:
2θ/deg	I/Imax
27.37	100
31.41	86
31.99	35
34.46	32
35.40	83
38.04	58
38.70	54
42.92	70
46.88	54
58.08	31

Cell and atoms:
abc: 13.018 13.018 13.018
angles: 144.13 144.13 51.64
Fractional positions:
La 0.016 0.516 0.170
La 0.106 0.106 0.000
La 0.154 0.984 0.500
La 0.346 0.846 0.830
La 0.394 0.394 0.000
La 0.484 0.654 0.500
La 0.516 0.346 0.500
La 0.606 0.606 0.000
La 0.654 0.154 0.170
La 0.846 0.016 0.500
La 0.894 0.894 0.000
La 0.984 0.484 0.830
Al 0.250 0.250 0.000
Al 0.750 0.750 0.000
Fe 0.000 0.500 0.500
Fe 0.023 0.300 0.500
Fe 0.066 0.212 0.277
Fe 0.124 0.624 0.857
Fe 0.200 0.477 0.500
Fe 0.212 0.934 0.146
Fe 0.233 0.733 0.857
Fe 0.267 0.124 0.500
Fe 0.288 0.434 0.723
Fe 0.300 0.800 0.276
Fe 0.376 0.233 0.500
Fe 0.434 0.712 0.146
Fe 0.477 0.977 0.276
Fe 0.500 0.000 0.500
Fe 0.523 0.023 0.724
Fe 0.566 0.288 0.854
Fe 0.624 0.767 0.500
Fe 0.700 0.200 0.724
Fe 0.712 0.566 0.277
Fe 0.733 0.876 0.500
Fe 0.767 0.267 0.143
Fe 0.788 0.066 0.854
Fe 0.800 0.523 0.500
Fe 0.876 0.376 0.143
Fe 0.934 0.788 0.723
Fe 0.977 0.700 0.500

=====

For LaAlFeS2, a GGA-PBE-relaxed structure gives the theoretical powder XRD pattern in this record (λ = 1.5418 Å (Cu Kα)).
Kinematic intensities with the Lorentz-polarization factor, no thermal factor.

Most intense lines, 2θ from 10° to 90°, sorted by position:
2θ/deg	I/Imax
16.09	100
16.71	23
22.83	37
23.28	32
32.51	53
33.79	24
36.47	26
37.63	24
47.59	35
50.56	20

Cell and atoms:
abc: 5.509 5.509 5.306
angles: 90.00 90.00 90.00
Fractional positions:
La 0.000 0.000 0.000
Al 0.500 0.500 0.500
Fe 0.000 0.000 0.500
S 0.000 0.500 0.000
S 0.500 0.000 0.000